[1]
# K5Rb2TlHg2
Calculated X-ray diffraction stick pattern, copper Kα. Input: DFT lattice parameters and positions (PBE).
Neutral-atom scattering factors, no anomalous dispersion.

```
K5Rb2TlHg2
1.0
14.5942 0.0000 0.0000
0.0000 14.5942 0.0000
0.0000 0.0000 4.8718
K Rb Tl Hg
10 4 2 4
direct
0.0000 0.5000 0.0000
0.0623 0.1956 0.0000
0.1956 0.9377 0.0000
0.3044 0.4377 0.0000
0.4377 0.6956 0.0000
0.5000 0.0000 0.0000
0.5623 0.3044 0.0000
0.6956 0.5623 0.0000
0.8044 0.0623 0.0000
0.9377 0.8044 0.0000
0.1770 0.6770 0.5000
0.3230 0.1770 0.5000
0.6770 0.8230 0.5000
0.8230 0.3230 0.5000
0.0000 0.0000 0.5000
0.5000 0.5000 0.5000
0.1313 0.3687 0.5000
0.3687 0.8687 0.5000
0.6313 0.1313 0.5000
0.8687 0.6313 0.5000
```

Main lines, most intense first (2θ = 10–90°):
26.6°, 3.350 Å, rel. 100
19.2°, 4.615 Å, rel. 47
28.7°, 3.113 Å, rel. 30
13.6°, 6.527 Å, rel. 28
18.2°, 4.872 Å, rel. 28
42.0°, 2.153 Å, rel. 26
25.1°, 3.541 Å, rel. 25
36.9°, 2.435 Å, rel. 22
39.5°, 2.280 Å, rel. 21
61.6°, 1.506 Å, rel. 17
34.8°, 2.580 Å, rel. 15
33.0°, 2.711 Å, rel. 14

---

[2]
# ErMg12Cd6
Calculated X-ray diffraction stick pattern, copper Kα. Input: DFT lattice parameters and positions (PBE).
Neutral-atom scattering factors, no anomalous dispersion.

```
ErMg12Cd6
1.0
6.4019 3.6962 3.2452
-6.4019 3.6962 3.2452
0.0000 -7.3923 3.2452
Er Mg Cd
1 12 6
direct
0.0000 0.0000 0.0000
0.1130 0.5000 0.8870
0.1130 0.8870 0.5000
0.1350 0.3834 0.3834
0.3834 0.1350 0.3834
0.3834 0.3834 0.1350
0.5000 0.1130 0.8870
0.5000 0.8870 0.1130
0.6166 0.6166 0.8650
0.6166 0.8650 0.6166
0.8650 0.6166 0.6166
0.8870 0.1130 0.5000
0.8870 0.5000 0.1130
0.2843 0.2843 0.7088
0.2843 0.7088 0.2843
0.2912 0.7157 0.7157
0.7088 0.2843 0.2843
0.7157 0.2912 0.7157
0.7157 0.7157 0.2912
```

Main lines, most intense first (2θ = 10–90°):
23.1°, 3.850 Å, rel. 100
27.9°, 3.201 Å, rel. 70
40.5°, 2.229 Å, rel. 61
40.0°, 2.255 Å, rel. 49
28.1°, 3.176 Å, rel. 44
24.3°, 3.658 Å, rel. 43
36.9°, 2.439 Å, rel. 42
19.9°, 4.457 Å, rel. 40
36.5°, 2.461 Å, rel. 37
59.3°, 1.558 Å, rel. 33
41.8°, 2.162 Å, rel. 32
30.9°, 2.895 Å, rel. 31

---

[3]
# YFe2C2
Calculated X-ray diffraction stick pattern, copper Kα. Input: DFT lattice parameters and positions (PBE).
Neutral-atom scattering factors, no anomalous dispersion.

```
YFe2C2
1.0
0.0000 4.2145 4.5134
2.9668 0.0000 4.5134
2.9668 4.2145 0.0000
Y Fe C
2 4 4
direct
0.1250 0.1250 0.1250
0.8750 0.8750 0.8750
0.2413 0.2413 0.5087
0.4913 0.4913 0.7587
0.5087 0.5087 0.2413
0.7587 0.7587 0.4913
0.1885 0.5615 0.1885
0.4385 0.8115 0.4385
0.5615 0.1885 0.5615
0.8115 0.4385 0.8115
```

Main lines, most intense first (2θ = 10–90°):
37.1°, 2.426 Å, rel. 100
35.1°, 2.557 Å, rel. 98
46.8°, 1.941 Å, rel. 55
42.9°, 2.107 Å, rel. 37
36.2°, 2.479 Å, rel. 27
56.8°, 1.622 Å, rel. 23
29.0°, 3.080 Å, rel. 20
65.5°, 1.425 Å, rel. 18
54.2°, 1.692 Å, rel. 17
74.8°, 1.270 Å, rel. 15
63.2°, 1.471 Å, rel. 14
65.4°, 1.428 Å, rel. 13